Structure and calculated powder diffraction line list of SrHfZrSnO6 (a cell relaxed with PBE; Cu Kα X-rays).
Neutral-atom scattering factors, no anomalous dispersion.

Top 12 peaks for 2θ from 10° to 90°, by intensity:
hkl 2 2 0, 2θ = 30.32°, I 100.0
hkl 4 2 2, 2θ = 53.86°, I 41.1
hkl 4 0 0, 2θ = 43.40°, I 31.1
hkl 6 4 2, 2θ = 87.55°, I 22.3
hkl 4 4 0, 2θ = 63.06°, I 19.5
hkl 6 2 0, 2θ = 71.56°, I 18.0
hkl 1 1 1, 2θ = 18.43°, I 8.5
hkl 4 4 4, 2θ = 79.66°, I 6.5
hkl 2 0 0, 2θ = 21.31°, I 5.8
hkl 3 1 1, 2θ = 35.71°, I 5.2
hkl 3 3 1, 2θ = 47.53°, I 2.4
hkl 4 2 0, 2θ = 48.84°, I 2.1

```
data_SrHfZrSnO6
_chemical_formula_sum 'Sr4 Hf4 Zr4 Sn4 O24'
_cell_length_a 8.3391
_cell_length_b 8.3391
_cell_length_c 8.3391
_cell_angle_alpha 90.00
_cell_angle_beta 90.00
_cell_angle_gamma 90.00
_space_group_name_H-M_alt 'F -4 3 m'
_space_group_IT_number 216
_space_group_name_Hall 'F -4 2 3'
loop_
_atom_site_label
_atom_site_type_symbol
_atom_site_fract_x
_atom_site_fract_y
_atom_site_fract_z
Sr1 Sr 0.0000 0.0000 0.0000
Hf1 Hf 0.2500 0.2500 0.7500
Zr1 Zr 0.2500 0.2500 0.2500
Sn1 Sn 0.0000 0.0000 0.5000
O1 O 0.0018 0.2500 0.7500
```